Simulated XRD peak list
Compound: Mn5NiP6O24
Radiation: Cu Kα, 1.54184 Å
Structure: a DFT-relaxed cell (PBE+U, Alexandria)
Lines closer than 0.1° are merged.

Crystal structure
```
data_Mn5NiP6O24
_cell_length_a 8.5483
_cell_length_b 8.5483
_cell_length_c 21.0095
_cell_angle_alpha 90.00
_cell_angle_beta 90.00
_cell_angle_gamma 120.00
_space_group_name_H-M_alt 'R 3'
_space_group_IT_number 146
_space_group_name_Hall 'R 3'
loop_
_atom_site_label
_atom_site_fract_x
_atom_site_fract_y
_atom_site_fract_z
_atom_site_occupancy
Mn1 0.0000 0.0000 0.0000 1
Mn2 0.0000 0.0000 0.1422 1
Mn3 0.0000 0.0000 0.3554 1
Mn4 0.0000 0.0000 0.5016 1
Mn5 0.0000 0.0000 0.8554 1
Ni1 0.0000 0.0000 0.6410 1
P1 0.0433 0.3752 0.4154 1
P2 0.0456 0.6686 0.9140 1
O1 0.0005 0.8052 0.3099 1
O2 0.0083 0.2062 0.6875 1
O3 0.0211 0.1809 0.4216 1
O4 0.0318 0.8457 0.9203 1
O5 0.1443 0.4671 0.4774 1
O6 0.1509 0.6794 0.8537 1
O7 0.1632 0.6863 0.2399 1
O8 0.1678 0.4878 0.7469 1
```

Peak list (6 most intense, 2θ from 5° to 70°, by intensity)
2θ (°)  intensity  hkl
20.78  100.0  1 1 0
24.40  98.1  2 -1 3
33.08  73.7  1 1 6
36.41  36.4  3 0 0
47.48  32.6  1 2 8
57.00  26.6  1 4 0